Record 1
# Ba2Tl13
Simulated PXRD pattern, Cu Kα. Input: a cell relaxed with GGA-PBE.
Peak positions follow from Bragg's law for the DFT cell and can differ from measured ones.

Cell and atoms:
abc: 9.278 9.278 9.278
angles: 59.45 59.45 59.45
Fractional positions:
Ba1 0.241 0.241 0.241
Ba2 0.759 0.759 0.759
Tl1 0.013 0.013 0.664
Tl2 0.013 0.664 0.013
Tl3 0.238 0.238 0.626
Tl4 0.238 0.626 0.238
Tl5 0.336 0.987 0.987
Tl6 0.374 0.762 0.762
Tl7 0.500 0.500 0.500
Tl8 0.626 0.238 0.238
Tl9 0.664 0.013 0.013
Tl10 0.762 0.374 0.762
Tl11 0.762 0.762 0.374
Tl12 0.987 0.336 0.987
Tl13 0.987 0.987 0.336

The 6 most intense peaks (2θ from 10° to 90°), low angle first:
| d/Å | I_rel |
| --- | --- |
| 3.927 | 838 |
| 3.017 | 309 |
| 2.686 | 373 |
| 2.663 | 1000 |
| 2.509 | 907 |
| 1.534 | 353 |


Record 2
# BaTl3
Simulated PXRD pattern, Cu Kα. Input: a cell relaxed with GGA-PBE.
Peak positions follow from Bragg's law for the DFT cell and can differ from measured ones.

Cell and atoms:
abc: 5.799 5.799 8.006
angles: 90.00 90.00 90.00
Fractional positions:
Ba1 0.000 0.000 0.000
Ba2 0.500 0.500 0.500
Tl1 0.000 0.000 0.500
Tl2 0.000 0.500 0.250
Tl3 0.000 0.500 0.750
Tl4 0.500 0.000 0.250
Tl5 0.500 0.000 0.750
Tl6 0.500 0.500 0.000

The 6 most intense peaks (2θ from 10° to 90°), low angle first:
| d/Å | I_rel |
| --- | --- |
| 2.899 | 516 |
| 2.864 | 1000 |
| 2.050 | 195 |
| 1.667 | 411 |
| 1.647 | 197 |
| 1.432 | 125 |


Record 3
# BaTl2
Simulated PXRD pattern, Cu Kα. Input: a cell relaxed with GGA-PBE.
Peak positions follow from Bragg's law for the DFT cell and can differ from measured ones.

Cell and atoms:
abc: 14.574 4.848 7.196
angles: 90.00 119.33 90.00
Fractional positions:
Ba1 0.172 0.000 0.172
Ba2 0.328 0.500 0.828
Ba3 0.672 0.500 0.172
Ba4 0.828 0.000 0.828
Tl1 0.001 0.500 0.735
Tl2 0.125 0.000 0.624
Tl3 0.375 0.500 0.376
Tl4 0.499 0.000 0.265
Tl5 0.501 0.000 0.735
Tl6 0.625 0.500 0.624
Tl7 0.875 0.000 0.376
Tl8 0.999 0.500 0.265

The 6 most intense peaks (2θ from 10° to 90°), low angle first:
| d/Å | I_rel |
| --- | --- |
| 6.262 | 202 |
| 3.190 | 971 |
| 2.817 | 1000 |
| 2.424 | 294 |
| 2.388 | 250 |
| 2.376 | 193 |


Record 4
# Ba5Tl
Simulated PXRD pattern, Cu Kα. Input: a cell relaxed with GGA-PBE.
Peak positions follow from Bragg's law for the DFT cell and can differ from measured ones.

Cell and atoms:
abc: 15.247 4.426 10.683
angles: 90.00 112.77 90.00
Fractional positions:
Ba1 0.000 0.000 0.000
Ba2 0.030 0.000 0.409
Ba3 0.161 0.500 0.778
Ba4 0.293 0.000 0.147
Ba5 0.324 0.000 0.557
Ba6 0.500 0.500 0.000
Ba7 0.530 0.500 0.409
Ba8 0.661 0.000 0.778
Ba9 0.793 0.500 0.147
Ba10 0.824 0.500 0.557
Tl1 0.163 0.500 0.279
Tl2 0.663 0.000 0.279

The 6 most intense peaks (2θ from 10° to 90°), low angle first:
| d/Å | I_rel |
| --- | --- |
| 3.593 | 387 |
| 3.454 | 579 |
| 3.407 | 1000 |
| 3.218 | 999 |
| 2.752 | 208 |
| 1.908 | 203 |


Record 5
# BaTl7
Simulated PXRD pattern, Cu Kα. Input: a cell relaxed with GGA-PBE.
Peak positions follow from Bragg's law for the DFT cell and can differ from measured ones.

Cell and atoms:
abc: 7.157 7.157 7.157
angles: 60.00 60.00 60.00
Fractional positions:
Ba1 0.000 0.000 0.000
Tl1 0.000 0.000 0.500
Tl2 0.000 0.500 0.000
Tl3 0.000 0.500 0.500
Tl4 0.500 0.000 0.000
Tl5 0.500 0.000 0.500
Tl6 0.500 0.500 0.000
Tl7 0.500 0.500 0.500

The 6 most intense peaks (2θ from 10° to 90°), low angle first:
| d/Å | I_rel |
| --- | --- |
| 2.922 | 1000 |
| 2.530 | 509 |
| 1.789 | 368 |
| 1.526 | 440 |
| 1.161 | 185 |
| 1.132 | 173 |


Record 6
# Ba4Tl3
Simulated PXRD pattern, Cu Kα. Input: a cell relaxed with GGA-PBE.
Peak positions follow from Bragg's law for the DFT cell and can differ from measured ones.

Cell and atoms:
abc: 10.424 10.424 10.424
angles: 33.82 33.82 33.82
Fractional positions:
Ba1 0.124 0.124 0.124
Ba2 0.376 0.376 0.376
Ba3 0.624 0.624 0.624
Ba4 0.876 0.876 0.876
Tl1 0.248 0.248 0.248
Tl2 0.500 0.500 0.500
Tl3 0.752 0.752 0.752

The 6 most intense peaks (2θ from 10° to 90°), low angle first:
| d/Å | I_rel |
| --- | --- |
| 3.032 | 1000 |
| 3.015 | 982 |
| 2.138 | 375 |
| 1.750 | 203 |
| 1.747 | 403 |
| 1.145 | 211 |


Record 7
# BaTmTl
Simulated PXRD pattern, Cu Kα. Input: a cell relaxed with GGA-PBE.
Peak positions follow from Bragg's law for the DFT cell and can differ from measured ones.

Cell and atoms:
abc: 5.234 5.234 8.239
angles: 90.00 90.00 90.00
Fractional positions:
Ba1 0.250 0.250 0.141
Ba2 0.750 0.750 0.859
Tm1 0.250 0.750 0.500
Tm2 0.750 0.250 0.500
Tl1 0.250 0.250 0.710
Tl2 0.750 0.750 0.290

The 6 most intense peaks (2θ from 10° to 90°), low angle first:
| d/Å | I_rel |
| --- | --- |
| 8.239 | 405 |
| 3.376 | 497 |
| 3.237 | 547 |
| 2.753 | 1000 |
| 2.617 | 766 |
| 1.536 | 361 |


Record 8
# BaTmTl
Simulated PXRD pattern, Cu Kα. Input: a cell relaxed with GGA-PBE.
Peak positions follow from Bragg's law for the DFT cell and can differ from measured ones.

Cell and atoms:
abc: 5.506 5.506 4.155
angles: 90.00 90.00 120.00
Fractional positions:
Ba1 0.000 0.000 0.000
Tm1 0.333 0.667 0.500
Tl1 0.667 0.333 0.500

The 6 most intense peaks (2θ from 10° to 90°), low angle first:
| d/Å | I_rel |
| --- | --- |
| 3.133 | 1000 |
| 2.753 | 881 |
| 2.295 | 239 |
| 2.068 | 313 |
| 1.658 | 392 |
| 1.653 | 311 |


Record 9
# BaTm2Tl3
Simulated PXRD pattern, Cu Kα. Input: a cell relaxed with GGA-PBE.
Peak positions follow from Bragg's law for the DFT cell and can differ from measured ones.

Cell and atoms:
abc: 3.869 3.869 12.112
angles: 90.00 90.00 90.00
Fractional positions:
Ba1 0.000 0.000 0.000
Tm1 0.000 0.000 0.349
Tm2 0.000 0.000 0.651
Tl1 0.500 0.500 0.203
Tl2 0.500 0.500 0.500
Tl3 0.500 0.500 0.797

The 6 most intense peaks (2θ from 10° to 90°), low angle first:
| d/Å | I_rel |
| --- | --- |
| 2.794 | 1000 |
| 2.736 | 584 |
| 2.385 | 171 |
| 1.935 | 216 |
| 1.591 | 376 |
| 1.224 | 123 |


Record 10
# Ba2Y2Tl
Simulated PXRD pattern, Cu Kα. Input: a cell relaxed with GGA-PBE.
Peak positions follow from Bragg's law for the DFT cell and can differ from measured ones.

Cell and atoms:
abc: 8.275 8.275 6.039
angles: 90.00 90.00 90.00
Fractional positions:
Ba1 0.168 0.332 0.000
Ba2 0.332 0.832 0.000
Ba3 0.668 0.168 0.000
Ba4 0.832 0.668 0.000
Y1 0.150 0.650 0.500
Y2 0.350 0.150 0.500
Y3 0.650 0.850 0.500
Y4 0.850 0.350 0.500
Tl1 0.000 0.000 0.500
Tl2 0.500 0.500 0.500

The 6 most intense peaks (2θ from 10° to 90°), low angle first:
| d/Å | I_rel |
| --- | --- |
| 4.202 | 352 |
| 3.413 | 407 |
| 3.155 | 1000 |
| 3.020 | 406 |
| 2.617 | 491 |
| 1.978 | 432 |


Record 11
# Ba3Tl4Zn2
Simulated PXRD pattern, Cu Kα. Input: a cell relaxed with GGA-PBE.
Peak positions follow from Bragg's law for the DFT cell and can differ from measured ones.

Cell and atoms:
abc: 6.662 6.662 10.104
angles: 109.18 109.18 45.66
Fractional positions:
Ba1 0.000 0.000 0.000
Ba2 0.324 0.324 0.350
Ba3 0.676 0.676 0.650
Tl1 0.025 0.025 0.355
Tl2 0.260 0.260 0.913
Tl3 0.740 0.740 0.087
Tl4 0.975 0.975 0.645
Zn1 0.405 0.405 0.731
Zn2 0.595 0.595 0.269

The 6 most intense peaks (2θ from 10° to 90°), low angle first:
| d/Å | I_rel |
| --- | --- |
| 3.610 | 276 |
| 3.146 | 329 |
| 3.115 | 610 |
| 3.072 | 948 |
| 2.604 | 1000 |
| 2.585 | 525 |


Record 12
# Ba4TlZn3
Simulated PXRD pattern, Cu Kα. Input: a cell relaxed with GGA-PBE.
Peak positions follow from Bragg's law for the DFT cell and can differ from measured ones.

Cell and atoms:
abc: 17.643 5.894 5.894
angles: 90.00 109.46 90.00
Fractional positions:
Ba1 0.128 0.000 0.128
Ba2 0.128 0.500 0.628
Ba3 0.372 0.000 0.372
Ba4 0.372 0.500 0.872
Ba5 0.628 0.000 0.628
Ba6 0.628 0.500 0.128
Ba7 0.872 0.000 0.872
Ba8 0.872 0.500 0.372
Tl1 0.000 0.000 0.500
Tl2 0.500 0.500 0.500
Zn1 0.000 0.500 0.000
Zn2 0.249 0.000 0.749
Zn3 0.251 0.500 0.251
Zn4 0.500 0.000 0.000
Zn5 0.749 0.500 0.749
Zn6 0.751 0.000 0.251

The 6 most intense peaks (2θ from 10° to 90°), low angle first:
| d/Å | I_rel |
| --- | --- |
| 2.945 | 1000 |
| 2.082 | 185 |
| 1.700 | 357 |
| 1.318 | 111 |
| 1.114 | 117 |
| 1.112 | 82 |